Diffraction record for MnCu2AgF8. The X-ray powder pattern is calculated, not measured: it uses a crystal structure in Alexandria, relaxed with GGA+U and Cu Kα, 1.54184 Å.

Largest 6 diffraction maxima, by intensity, 5 to 70 degrees two-theta:
2θ = 26.15°, I 100; 2θ = 31.20°, I 85; 2θ = 49.41°, I 70; 2θ = 63.52°, I 21; 2θ = 53.81°, I 18; 2θ = 58.42°, I 18

Crystal structure
abc: 6.815 6.815 7.132
angles: 90.00 90.00 90.00
Space group I-4m2 (No. 119)
Unique sites:
1 Mn 0.000 0.000 0.000
2 Cu 0.000 0.000 0.500
3 Cu 0.000 0.500 0.250
4 Ag 0.000 0.500 0.750
5 F 0.000 0.184 0.702
6 F 0.000 0.290 0.066